Simulated powder diffractogram
Compound: WOF4
Radiation: λ = 1.5418 Å (Cu Kα)
Structure: a cell relaxed with GGA+U

Structural model:
```
WOF4
1.0
7.752 0.000 0.000
0.000 10.647 0.000
-3.842 0.000 9.695
W O F
8 8 32
Direct
0.053 0.142 0.424
0.053 0.358 0.924
0.371 0.591 0.660
0.371 0.909 0.160
0.629 0.091 0.840
0.629 0.409 0.340
0.947 0.642 0.076
0.947 0.858 0.576
0.014 0.208 0.266
0.014 0.292 0.766
0.494 0.041 0.236
0.494 0.459 0.736
0.506 0.541 0.264
0.506 0.959 0.764
0.986 0.708 0.234
0.986 0.792 0.734
0.077 0.020 0.626
0.077 0.480 0.126
0.125 0.551 0.646
0.125 0.949 0.146
0.168 0.700 0.050
0.168 0.800 0.550
0.187 0.235 0.049
0.187 0.265 0.549
0.273 0.053 0.453
0.273 0.447 0.953
0.291 0.556 0.469
0.291 0.944 0.969
0.385 0.689 0.815
0.385 0.811 0.315
0.443 0.195 0.860
0.443 0.305 0.360
0.557 0.695 0.640
0.557 0.805 0.140
0.615 0.189 0.685
0.615 0.311 0.185
0.709 0.056 0.031
0.709 0.444 0.531
0.727 0.553 0.047
0.727 0.947 0.547
0.813 0.735 0.451
0.813 0.765 0.951
0.832 0.200 0.450
0.832 0.300 0.950
0.875 0.051 0.854
0.875 0.449 0.354
0.923 0.520 0.874
0.923 0.980 0.374
```

Peak list (10 most intense, 2θ from 10° to 90°, in order of falling intensity)
Position (°2θ)  Rel. int.
19.7  100.0
20.8  98.7
20.1  47.7
17.9  42.2
26.1  24.7
24.4  23.4
38.4  23.1
31.2  18.9
51.0  17.4
24.7  14.8